# NbCuNi2Pd2
Theoretical powder diffractogram, copper Kα. Input: a cell relaxed with PBE.
Peak positions follow from Bragg's law for the DFT cell and can differ from measured ones.

Most intense lines, 2θ = 10–90°, in order of rising 2θ:
| h k l | d [Å] | two_theta | I (rel.) |
| --- | --- | --- | --- |
| 1 2 -1 | 2.241 | 40.24 | 100.0 |
| 2 0 1 | 2.181 | 41.40 | 69.5 |
| 1 2 1 | 2.162 | 41.78 | 47.6 |
| 0 0 3 | 2.150 | 42.02 | 70.5 |
| 0 2 2 | 2.059 | 43.97 | 20.3 |
| 2 0 -2 | 2.051 | 44.17 | 65.9 |
| 1 2 -2 | 1.947 | 46.65 | 18.4 |
| 1 2 2 | 1.846 | 49.37 | 46.0 |

Atomic structure:
```
data_NbCuNi2Pd2
_chemical_formula_sum 'Nb2 Cu2 Ni4 Pd4'
_symmetry_space_group_name_H-M 'P 1 21/m 1'
_symmetry_Int_Tables_number 11
_cell_length_a 4.864
_cell_length_b 5.352
_cell_length_c 6.494
_cell_angle_alpha 90.00
_cell_angle_beta 96.63
_cell_angle_gamma 90.00
loop_
_symmetry_equiv_pos_as_xyz
'x,y,z'
'-x,-y,-z'
'-x,y+1/2,-z'
'x,-y+1/2,z'
loop_
_atom_site_label
_atom_site_type_symbol
_atom_site_fract_x
_atom_site_fract_y
_atom_site_fract_z
Nb1 Nb 0.200 0.250 0.192
Cu1 Cu 0.196 0.750 0.140
Ni1 Ni 0.003 0.750 0.484
Ni2 Ni 0.495 0.750 0.487
Pd1 Pd 0.299 0.003 0.814
```